No. 1
Diffraction record for RbMg14BO16. The X-ray powder pattern is calculated, not measured: it uses a structure optimized by DFT (GGA-PBE) and Cu Ka.
Kinematic intensities with the Lorentz-polarization factor, no thermal factor.

Structural model:
```
data_RbMg14BO16
_chemical_formula_sum 'Rb1 Mg14 B1 O16'
_space_group_name_H-M_alt 'P m m m'
_space_group_IT_number 47
_cell_length_a 4.5464
_cell_length_b 8.1986
_cell_length_c 8.9661
_cell_angle_alpha 90.00
_cell_angle_beta 90.00
_cell_angle_gamma 90.00
loop_
_space_group_symop_operation_xyz
'x,y,z'
'-x,-y,-z'
'-x,-y,z'
'x,y,-z'
'x,-y,-z'
'-x,y,z'
'-x,y,-z'
'x,-y,z'
loop_
_atom_site_label
_atom_site_type_symbol
_atom_site_fract_x
_atom_site_fract_y
_atom_site_fract_z
_atom_site_occupancy
Rb1 Rb 0.0000 0.0000 0.0000 1
Mg1 Mg 0.0000 0.0000 0.5000 1
Mg2 Mg 0.0000 0.2546 0.2680 1
Mg3 Mg 0.0000 0.5000 0.5000 1
Mg4 Mg 0.5000 0.0000 0.2557 1
Mg5 Mg 0.5000 0.2512 0.5000 1
Mg6 Mg 0.5000 0.2590 0.0000 1
Mg7 Mg 0.5000 0.5000 0.2464 1
B1 B 0.0000 0.5000 0.0000 1
O1 O 0.0000 0.0000 0.2785 1
O2 O 0.0000 0.2518 0.5000 1
O3 O 0.0000 0.3352 0.0000 1
O4 O 0.0000 0.5000 0.2694 1
O5 O 0.5000 0.0000 0.0000 1
O6 O 0.5000 0.0000 0.5000 1
O7 O 0.5000 0.2496 0.2454 1
O8 O 0.5000 0.5000 0.0000 1
O9 O 0.5000 0.5000 0.5000 1
```

Largest 6 diffraction maxima, sorted by position, 10 to 80 degrees two-theta:
2.519 Å, 35.65 deg, intensity 45, (1 2 2); 2.273 Å, 39.65 deg, intensity 100, (2 0 0); 2.242 Å, 40.23 deg, intensity 89, (0 0 4); 2.050 Å, 44.19 deg, intensity 61, (0 4 0); 1.596 Å, 57.76 deg, intensity 54, (2 0 4); 1.522 Å, 60.86 deg, intensity 43, (2 4 0)

---

No. 2
Diffraction record for CuTeAs. The X-ray powder pattern is calculated, not measured: it uses a structure optimized by DFT (GGA-PBE) and Cu Ka.
Kinematic intensities with the Lorentz-polarization factor, no thermal factor.

Structural model:
```
data_CuTeAs
_chemical_formula_sum 'Cu4 Te4 As4'
_space_group_name_H-M_alt 'P n m a'
_space_group_IT_number 62
_cell_length_a 12.6449
_cell_length_b 4.1964
_cell_length_c 5.7788
_cell_angle_alpha 90.00
_cell_angle_beta 90.00
_cell_angle_gamma 90.00
loop_
_space_group_symop_operation_xyz
'x,y,z'
'-x,-y,-z'
'-x+1/2,-y,z+1/2'
'x+1/2,y,-z+1/2'
'x+1/2,-y+1/2,-z+1/2'
'-x+1/2,y+1/2,z+1/2'
'-x,y+1/2,-z'
'x,-y+1/2,z'
loop_
_atom_site_label
_atom_site_type_symbol
_atom_site_fract_x
_atom_site_fract_y
_atom_site_fract_z
_atom_site_occupancy
Cu1 Cu 0.1637 0.2500 0.1087 1
Te1 Te 0.1644 0.7500 0.8559 1
As1 As 0.0179 0.2500 0.3753 1
```

Largest 6 diffraction maxima, sorted by position, 10 to 80 degrees two-theta:
3.400 Å, 26.21 deg, intensity 100, (0 1 1); 2.098 Å, 43.11 deg, intensity 13, (0 2 0); 2.072 Å, 43.68 deg, intensity 47, (3 1 2); 1.791 Å, 51.00 deg, intensity 15, (6 1 1); 1.786 Å, 51.13 deg, intensity 14, (3 2 1); 1.751 Å, 52.23 deg, intensity 14, (3 0 3)

---

No. 3
Diffraction record for SrH6C2O6. The X-ray powder pattern is calculated, not measured: it uses a structure optimized by DFT (GGA-PBE) and Cu Ka.
Kinematic intensities with the Lorentz-polarization factor, no thermal factor.

Structural model:
```
data_SrH6C2O6
_chemical_formula_sum 'Sr4 H24 C8 O24'
_space_group_name_H-M_alt 'P 21 21 21'
_space_group_IT_number 19
_cell_length_a 6.7902
_cell_length_b 8.4024
_cell_length_c 12.7590
_cell_angle_alpha 90.00
_cell_angle_beta 90.00
_cell_angle_gamma 90.00
loop_
_space_group_symop_operation_xyz
'x,y,z'
'-x+1/2,-y,z+1/2'
'x+1/2,-y+1/2,-z'
'-x,y+1/2,-z+1/2'
loop_
_atom_site_label
_atom_site_type_symbol
_atom_site_fract_x
_atom_site_fract_y
_atom_site_fract_z
_atom_site_occupancy
Sr1 Sr 0.1971 0.1614 0.3906 1
H1 H 0.0109 0.8935 0.4500 1
H2 H 0.0518 0.7631 0.3308 1
H3 H 0.0818 0.3686 0.8810 1
H4 H 0.1062 0.1199 0.1739 1
H5 H 0.1887 0.5144 0.7845 1
H6 H 0.2235 0.1284 0.6593 1
C1 C 0.0594 0.4482 0.8137 1
C2 C 0.1401 0.6281 0.5692 1
O1 O 0.0032 0.1558 0.5649 1
O2 O 0.0053 0.1687 0.2177 1
O3 O 0.0946 0.9424 0.7387 1
O4 O 0.1177 0.8858 0.3994 1
O5 O 0.1345 0.5257 0.5103 1
O6 O 0.2096 0.1895 0.5940 1
```

Largest 6 diffraction maxima, sorted by position, 10 to 80 degrees two-theta:
7.017 Å, 12.61 deg, intensity 100, (0 1 1); 4.880 Å, 18.18 deg, intensity 45, (1 1 1); 4.649 Å, 19.09 deg, intensity 59, (1 0 2); 3.440 Å, 25.90 deg, intensity 75, (1 2 1); 3.281 Å, 27.18 deg, intensity 41, (2 0 1); 2.589 Å, 34.65 deg, intensity 35, (1 3 0)